Simulated powder diffraction line list of BeCuBr4 for Cu Kα (λ = 1.5418 Å), from DFT lattice parameters and positions (PBE).
Neutral-atom scattering factors, no anomalous dispersion.

Principal peaks in the range 10° ≤ 2θ ≤ 80°, by angle:
2θ/deg  I_rel  (hkl)
12.9  15  1 0 0
19.2  100  0 0 2
26.0  35  2 0 0
32.5  39  2 0 2
37.1  34  2 2 0
39.0  16  0 0 4
42.1  47  2 2 2
47.5  13  2 0 4
54.9  21  2 2 4
57.3  17  4 0 2

Cell and atoms:
Cell lengths 6.8570, 6.8570, 9.2327 Å; angles 90.00, 90.00, 90.00 degrees
Element x y z (fractional)
Be: 0.0000 0.5000 0.0000
Be: 0.5000 0.0000 0.5000
Cu: 0.0000 0.0000 0.0000
Cu: 0.0000 0.0000 0.5000
Br: 0.2335 0.2643 0.0000
Br: 0.2335 0.7357 0.0000
Br: 0.2643 0.2335 0.5000
Br: 0.2643 0.7665 0.5000
Br: 0.7357 0.2335 0.5000
Br: 0.7357 0.7665 0.5000
Br: 0.7665 0.2643 0.0000
Br: 0.7665 0.7357 0.0000